This entry pairs a crystal structure of CeFe4Sb12 with its theoretical powder XRD pattern. Radiation: a wavelength of 1.5418 Å. Structure: a structure optimized by DFT (PBE).

Structure:
Unit cell a=7.930 b=7.930 c=7.930 alpha=109.47 beta=109.47 gamma=109.47
Element x y z (fractional)
Ce  0.000  0.000  0.000
Fe  0.000  0.000  0.500
Fe  0.000  0.500  0.000
Fe  0.500  0.000  0.000
Fe  0.500  0.500  0.500
Sb  0.163  0.497  0.334
Sb  0.163  0.829  0.666
Sb  0.171  0.334  0.837
Sb  0.334  0.163  0.497
Sb  0.334  0.837  0.171
Sb  0.497  0.334  0.163
Sb  0.503  0.666  0.837
Sb  0.666  0.163  0.829
Sb  0.666  0.837  0.503
Sb  0.829  0.666  0.163
Sb  0.837  0.171  0.334
Sb  0.837  0.503  0.666

Largest 8 diffraction maxima, sorted by position, 5 to 70 degrees two-theta:
- 2θ 30.88, d 2.895, rel. 100
- 2θ 36.73, d 2.447, rel. 51
- 2θ 44.24, d 2.047, rel. 12
- 2θ 48.72, d 1.869, rel. 22
- 2θ 50.85, d 1.796, rel. 22
- 2θ 58.81, d 1.570, rel. 18
- 2θ 60.69, d 1.526, rel. 12
- 2θ 69.65, d 1.350, rel. 18

***

This entry pairs a crystal structure of EuSnHg with its theoretical powder XRD pattern. Radiation: a wavelength of 1.5418 Å. Structure: a structure optimized by DFT (PBE).

Structure:
Unit cell a=4.985 b=4.985 c=7.879 alpha=90.00 beta=90.00 gamma=120.00
Element x y z (fractional)
Eu  0.000  0.000  0.000
Eu  0.000  0.000  0.500
Sn  0.333  0.667  0.287
Sn  0.667  0.333  0.787
Hg  0.333  0.667  0.696
Hg  0.667  0.333  0.196

Largest 8 diffraction maxima, sorted by position, 5 to 70 degrees two-theta:
- 2θ 23.50, d 3.786, rel. 24
- 2θ 30.72, d 2.910, rel. 100
- 2θ 36.04, d 2.492, rel. 90
- 2θ 40.19, d 2.244, rel. 27
- 2θ 48.07, d 1.893, rel. 29
- 2θ 59.85, d 1.545, rel. 15
- 2θ 61.52, d 1.507, rel. 28
- 2θ 64.79, d 1.439, rel. 17

***

This entry pairs a crystal structure of Cs3EuCl6 with its theoretical powder XRD pattern. Radiation: a wavelength of 1.5418 Å. Structure: a structure optimized by DFT (PBE).

Structure:
Unit cell a=8.474 b=8.474 c=8.474 alpha=60.00 beta=60.00 gamma=60.00
Element x y z (fractional)
Cs  0.000  0.000  0.000
Cs  0.250  0.250  0.250
Cs  0.750  0.750  0.750
Eu  0.500  0.500  0.500
Cl  0.273  0.273  0.727
Cl  0.273  0.727  0.273
Cl  0.273  0.727  0.727
Cl  0.727  0.273  0.273
Cl  0.727  0.273  0.727
Cl  0.727  0.727  0.273

Largest 8 diffraction maxima, sorted by position, 5 to 70 degrees two-theta:
- 2θ 20.97, d 4.237, rel. 100
- 2θ 29.82, d 2.996, rel. 53
- 2θ 36.74, d 2.446, rel. 46
- 2θ 42.68, d 2.119, rel. 37
- 2θ 48.01, d 1.895, rel. 25
- 2θ 52.93, d 1.730, rel. 12
- 2θ 57.55, d 1.601, rel. 28
- 2θ 66.16, d 1.412, rel. 13

***

This entry pairs a crystal structure of CuSi7N10 with its theoretical powder XRD pattern. Radiation: a wavelength of 1.5418 Å. Structure: a structure optimized by DFT (PBE).

Structure:
Unit cell a=6.699 b=6.910 c=9.701 alpha=90.00 beta=103.88 gamma=90.00
Element x y z (fractional)
Cu  0.000  0.095  0.000
Cu  0.000  0.905  0.500
Si  0.139  0.400  0.889
Si  0.139  0.600  0.389
Si  0.325  0.379  0.197
Si  0.325  0.621  0.697
Si  0.377  0.019  0.837
Si  0.377  0.981  0.337
Si  0.510  0.367  0.501
Si  0.510  0.633  0.001
Si  0.570  0.019  0.139
Si  0.570  0.981  0.639
Si  0.683  0.362  0.805
Si  0.683  0.638  0.305
Si  0.872  0.382  0.124
Si  0.872  0.618  0.624
N  0.101  0.432  0.250
N  0.101  0.568  0.750
N  0.179  0.159  0.862
N  0.179  0.841  0.362
N  0.313  0.494  0.038
N  0.313  0.506  0.538
N  0.351  0.132  0.184
N  0.351  0.868  0.684
N  0.476  0.121  0.487
N  0.476  0.879  0.987
N  0.522  0.460  0.337
N  0.522  0.540  0.837
N  0.580  0.137  0.784
N  0.580  0.863  0.284
N  0.724  0.418  0.638
N  0.724  0.582  0.138
N  0.780  0.151  0.123
N  0.780  0.849  0.623
N  0.906  0.384  0.944
N  0.906  0.616  0.444

Largest 8 diffraction maxima, sorted by position, 5 to 70 degrees two-theta:
- 2θ 15.91, d 5.571, rel. 80
- 2θ 19.45, d 4.563, rel. 100
- 2θ 25.79, d 3.455, rel. 28
- 2θ 25.89, d 3.442, rel. 36
- 2θ 28.98, d 3.081, rel. 31
- 2θ 32.18, d 2.781, rel. 35
- 2θ 37.02, d 2.428, rel. 29
- 2θ 39.66, d 2.272, rel. 27

***

This entry pairs a crystal structure of IrSe3Br9 with its theoretical powder XRD pattern. Radiation: a wavelength of 1.5418 Å. Structure: a structure optimized by DFT (PBE).

Structure:
Unit cell a=12.601 b=9.963 c=18.973 alpha=90.00 beta=130.52 gamma=90.00
Element x y z (fractional)
Ir  0.250  0.240  0.002
Ir  0.250  0.260  0.502
Ir  0.750  0.740  0.498
Ir  0.750  0.760  0.998
Se  0.004  0.191  0.912
Se  0.004  0.309  0.412
Se  0.244  0.243  0.373
Se  0.244  0.257  0.873
Se  0.326  0.010  0.039
Se  0.326  0.490  0.539
Se  0.674  0.510  0.461
Se  0.674  0.990  0.961
Se  0.756  0.743  0.127
Se  0.756  0.757  0.627
Se  0.996  0.691  0.588
Se  0.996  0.809  0.088
Br  0.097  0.646  0.746
Br  0.097  0.854  0.246
Br  0.121  0.629  0.444
Br  0.121  0.871  0.944
Br  0.122  0.613  0.112
Br  0.122  0.887  0.612
Br  0.214  0.235  0.618
Br  0.214  0.265  0.118
Br  0.222  0.011  0.467
Br  0.222  0.489  0.967
Br  0.278  0.036  0.840
Br  0.278  0.464  0.340
Br  0.403  0.564  0.685
Br  0.403  0.936  0.185
Br  0.450  0.143  0.415
Br  0.450  0.357  0.915
Br  0.488  0.741  0.873
Br  0.488  0.759  0.373
Br  0.512  0.241  0.627
Br  0.512  0.259  0.127
Br  0.550  0.643  0.085
Br  0.550  0.857  0.585
Br  0.597  0.064  0.815
Br  0.597  0.436  0.315
Br  0.722  0.536  0.660
Br  0.722  0.964  0.160
Br  0.778  0.511  0.033
Br  0.778  0.989  0.533
Br  0.786  0.735  0.882
Br  0.786  0.765  0.382
Br  0.878  0.113  0.388
Br  0.878  0.387  0.888
Br  0.879  0.129  0.056
Br  0.879  0.371  0.556
Br  0.903  0.146  0.754
Br  0.903  0.354  0.254

Largest 8 diffraction maxima, sorted by position, 5 to 70 degrees two-theta:
- 2θ 12.27, d 7.212, rel. 67
- 2θ 12.82, d 6.905, rel. 81
- 2θ 12.95, d 6.837, rel. 100
- 2θ 25.94, d 3.435, rel. 27
- 2θ 28.44, d 3.138, rel. 34
- 2θ 28.76, d 3.104, rel. 52
- 2θ 29.37, d 3.041, rel. 43
- 2θ 31.15, d 2.871, rel. 27

***

This entry pairs a crystal structure of Mg16Al12Cl with its theoretical powder XRD pattern. Radiation: a wavelength of 1.5418 Å. Structure: a structure optimized by DFT (PBE).

Structure:
Unit cell a=8.935 b=9.079 c=9.086 alpha=109.33 beta=108.15 gamma=107.50
Element x y z (fractional)
Mg  0.000  0.000  0.000
Mg  0.001  0.649  0.006
Mg  0.005  0.248  0.329
Mg  0.010  0.657  0.355
Mg  0.290  0.328  0.689
Mg  0.312  0.644  0.603
Mg  0.335  0.249  0.010
Mg  0.352  0.647  0.999
Mg  0.406  0.357  0.410
Mg  0.600  0.653  0.330
Mg  0.602  0.984  0.010
Mg  0.657  0.305  0.690
Mg  0.679  0.938  0.688
Mg  0.695  0.342  0.304
Mg  0.709  0.054  0.410
Mg  0.997  0.959  0.604
Al  0.010  0.276  0.829
Al  0.162  0.809  0.817
Al  0.177  0.012  0.359
Al  0.199  0.470  0.197
Al  0.361  0.010  0.168
Al  0.365  0.824  0.361
Al  0.626  0.656  0.828
Al  0.659  0.495  0.034
Al  0.804  0.641  0.642
Al  0.822  0.847  0.195
Al  0.847  0.306  0.036
Al  0.994  0.454  0.644
Cl  0.428  0.075  0.779

Largest 8 diffraction maxima, sorted by position, 5 to 70 degrees two-theta:
- 2θ 35.18, d 2.551, rel. 45
- 2θ 35.35, d 2.539, rel. 34
- 2θ 35.50, d 2.529, rel. 36
- 2θ 35.76, d 2.511, rel. 23
- 2θ 36.37, d 2.470, rel. 100
- 2θ 36.59, d 2.456, rel. 24
- 2θ 37.02, d 2.428, rel. 42
- 2θ 38.44, d 2.342, rel. 30